Diffraction record for CaNbSiTePd. The powder diffraction line list is calculated, not measured: it uses a DFT-relaxed cell (GGA-PBE, Alexandria) and Cu Kα.
Lines closer than 0.1° are merged.

The 10 most intense peaks (2θ from 10° to 90°), low angle first:
- 11.91°, intensity 45, hkl 0 0 1
- 27.51°, intensity 74, hkl 0 1 1
- 34.68°, intensity 100, hkl 0 1 2
- 43.49°, intensity 58, hkl 1 1 0
- 44.39°, intensity 23, hkl 1 0 3
- 52.24°, intensity 12, hkl 2 0 1
- 55.68°, intensity 13, hkl 1 0 4
- 56.78°, intensity 23, hkl 2 0 2
- 67.62°, intensity 12, hkl 1 1 4
- 74.14°, intensity 20, hkl 1 2 2

Structural model:
```
data_CaNbSiTePd
_symmetry_space_group_name_H-M 'P 3 m 1'
_symmetry_Int_Tables_number 156
_cell_length_a 4.1616
_cell_length_b 4.1616
_cell_length_c 7.4279
_cell_angle_alpha 90.00
_cell_angle_beta 90.00
_cell_angle_gamma 120.00
loop_
_symmetry_equiv_pos_as_xyz
'x,y,z'
'-y,x-y,z'
'-x+y,-x,z'
'-y,-x,z'
'-x+y,y,z'
'x,x-y,z'
loop_
_atom_site_label
_atom_site_fract_x
_atom_site_fract_y
_atom_site_fract_z
Ca1 0.0000 0.0000 0.0000
Nb1 0.0000 0.0000 0.4745
Si1 0.3333 0.6667 0.2747
Te1 0.3333 0.6667 0.7119
Pd1 0.6667 0.3333 0.3001
```